Structure and simulated XRD peak list of Mn4BiSb3 (DFT lattice parameters and positions (PBE); Cu Kα (weighted mean of Kα1 and Kα2)).
Neutral-atom scattering factors, no anomalous dispersion.

Structural model:
a b c (Å): 4.1583 5.6598 7.1945
angles (deg): 90.00 90.00 90.00
Fractional positions:
Mn: 0.0000 0.2453 0.0000
Mn: 0.0000 0.7547 0.0000
Mn: 0.5000 0.2467 0.4847
Mn: 0.5000 0.7533 0.4847
Bi: 0.5000 0.5000 0.8241
Sb: 0.0000 0.0000 0.6599
Sb: 0.0000 0.5000 0.3268
Sb: 0.5000 0.0000 0.1575

The 8 most intense peaks (2θ from 10° to 90°), sorted by position:
index, d_spacing, I_rel
1 1 1, 3.037, 100
0 2 2, 2.225, 45
2 0 0, 2.078, 44
2 1 2, 1.715, 13
1 3 1, 1.671, 17
2 2 2, 1.519, 13
3 1 1, 1.323, 16
2 4 0, 1.170, 13